# SrIn4Sn4
Theoretical X-ray powder pattern, Cu Ka. Input: a DFT-relaxed cell (PBE, Alexandria).
No peak broadening, texture or thermal motion is included.

Structure:
Cell lengths 6.7900, 6.7900, 11.7065 Å; angles 90.00, 90.00, 90.00 degrees
Space group P4_2/nmc (No. 137, origin choice 2)
Unique sites:
Sr1 0.2500 0.7500 0.2500
In1 0.0379 0.2500 0.1916
Sn1 0.0110 0.7500 0.5334

Most intense lines, 2θ = 5–70°, low angle first:
2θ 15.08, I 220
2θ 27.35, I 301
2θ 30.41, I 712
2θ 33.34, I 385
2θ 35.03, I 1000
2θ 37.47, I 458
2θ 42.92, I 218
2θ 54.02, I 209
2θ 58.26, I 185
2θ 66.03, I 246

# BaZnPb2
Theoretical X-ray powder pattern, Cu Ka. Input: a DFT-relaxed cell (PBE, Alexandria).
No peak broadening, texture or thermal motion is included.

Structure:
Cell lengths 4.0577, 4.0577, 7.7610 Å; angles 90.00, 90.00, 90.00 degrees
Space group P4mm (No. 99)
Unique sites:
Ba1 0.0000 0.0000 0.0000
Zn1 0.5000 0.5000 0.7218
Pb1 0.0000 0.0000 0.5339
Pb2 0.5000 0.5000 0.3186

Most intense lines, 2θ = 5–70°, low angle first:
2θ 11.40, I 261
2θ 24.76, I 153
2θ 31.17, I 633
2θ 31.91, I 1000
2θ 33.29, I 94
2θ 41.39, I 139
2θ 44.66, I 238
2θ 55.94, I 413
2θ 57.33, I 111
2θ 62.52, I 84

# Th3Co3Sb4
Theoretical X-ray powder pattern, Cu Ka. Input: a DFT-relaxed cell (PBE, Alexandria).
No peak broadening, texture or thermal motion is included.

Structure:
Cell lengths 9.6106, 9.6106, 9.6106 Å; angles 90.00, 90.00, 90.00 degrees
Space group I-43d (No. 220)
Unique sites:
Th1 0.0000 0.2500 0.3750
Co1 0.0000 0.2500 0.8750
Sb1 0.0796 0.0796 0.0796

Most intense lines, 2θ = 5–70°, low angle first:
2θ 22.66, I 170
2θ 29.39, I 708
2θ 34.93, I 1000
2θ 42.04, I 443
2θ 44.20, I 169
2θ 46.28, I 152
2θ 48.29, I 108
2θ 59.27, I 274
2θ 60.97, I 132
2θ 62.65, I 123

# Mn2Cd2Si
Theoretical X-ray powder pattern, Cu Ka. Input: a DFT-relaxed cell (PBE, Alexandria).
No peak broadening, texture or thermal motion is included.

Structure:
Cell lengths 5.9911, 5.9911, 4.4829 Å; angles 90.00, 90.00, 90.00 degrees
Space group P4/mbm (No. 127)
Unique sites:
Mn1 0.1386 0.3614 0.0000
Cd1 0.1686 0.6686 0.5000
Si1 0.0000 0.0000 0.0000

Most intense lines, 2θ = 5–70°, low angle first:
2θ 19.80, I 78
2θ 20.97, I 102
2θ 29.83, I 98
2θ 33.44, I 88
2θ 36.06, I 162
2θ 39.17, I 1000
2θ 40.23, I 243
2θ 48.02, I 171
2θ 64.39, I 135
2θ 67.80, I 120

# Sr2LiZn3Au12
Theoretical X-ray powder pattern, Cu Ka. Input: a DFT-relaxed cell (PBE, Alexandria).
No peak broadening, texture or thermal motion is included.

Structure:
Cell lengths 8.5747, 8.5747, 19.9174 Å; angles 90.00, 90.00, 120.00 degrees
Space group R-3m (No. 166, hexagonal axes)
Unique sites:
Sr1 0.0000 0.0000 0.1232
Li1 0.0000 0.0000 0.5000
Zn1 0.0000 0.5000 0.0000
Au1 0.0108 0.5054 0.1274
Au2 0.0130 0.5065 0.3725

Most intense lines, 2θ = 5–70°, low angle first:
2θ 20.72, I 204
2θ 21.49, I 124
2θ 30.02, I 1000
2θ 36.76, I 65
2θ 42.15, I 564
2θ 43.78, I 510
2θ 52.61, I 207
2θ 55.35, I 60
2θ 62.40, I 174
2θ 69.60, I 177

# SrBeO2
Theoretical X-ray powder pattern, Cu Ka. Input: a DFT-relaxed cell (PBE, Alexandria).
No peak broadening, texture or thermal motion is included.

Structure:
Cell lengths 7.6381, 7.8444, 4.1632 Å; angles 90.00, 90.00, 90.00 degrees
Space group Cccm (No. 66)
Unique sites:
Sr1 0.2500 0.2500 0.0000
Be1 0.0000 0.0000 0.2500
O1 0.1162 0.1140 0.5000

Most intense lines, 2θ = 5–70°, low angle first:
2θ 16.20, I 268
2θ 22.67, I 417
2θ 23.29, I 402
2θ 26.91, I 1000
2θ 32.73, I 512
2θ 42.51, I 609
2θ 43.22, I 571
2θ 43.47, I 164
2θ 55.46, I 169
2θ 64.65, I 142

# Li2TbPb9
Theoretical X-ray powder pattern, Cu Ka. Input: a DFT-relaxed cell (PBE, Alexandria).
No peak broadening, texture or thermal motion is included.

Structure:
Cell lengths 4.8026, 4.8026, 14.8987 Å; angles 90.00, 90.00, 90.00 degrees
Space group P4/mmm (No. 123)
Unique sites:
Li1 0.0000 0.0000 0.1669
Tb1 0.0000 0.0000 0.5000
Pb1 0.0000 0.5000 0.0000
Pb2 0.0000 0.5000 0.3285
Pb3 0.5000 0.5000 0.1635
Pb4 0.5000 0.5000 0.5000

Most intense lines, 2θ = 5–70°, low angle first:
2θ 18.47, I 90
2θ 25.81, I 83
2θ 31.93, I 1000
2θ 36.17, I 178
2θ 37.45, I 330
2θ 53.05, I 243
2θ 54.00, I 117
2θ 62.41, I 152
2θ 64.12, I 282
2θ 66.74, I 124

# Zn2Ga2Ag7
Theoretical X-ray powder pattern, Cu Ka. Input: a DFT-relaxed cell (PBE, Alexandria).
No peak broadening, texture or thermal motion is included.

Structure:
Cell lengths 7.9346, 9.8823, 5.4694 Å; angles 90.00, 112.87, 90.00 degrees
Space group C2/m (No. 12)
Unique sites:
Zn1 0.1473 0.0000 0.4487
Ga1 0.0000 0.3599 0.0000
Ag1 0.0000 0.5000 0.5000
Ag2 0.1777 0.0000 0.9761
Ag3 0.1819 0.2526 0.7047

Most intense lines, 2θ = 5–70°, low angle first:
2θ 23.88, I 271
2θ 36.36, I 666
2θ 38.03, I 570
2θ 39.15, I 716
2θ 40.06, I 710
2θ 40.17, I 1000
2θ 41.33, I 436
2θ 43.98, I 444
2θ 44.25, I 295
2θ 67.98, I 347

# TaCuOsPt
Theoretical X-ray powder pattern, Cu Ka. Input: a DFT-relaxed cell (PBE, Alexandria).
No peak broadening, texture or thermal motion is included.

Structure:
Cell lengths 6.2344, 6.2344, 6.2344 Å; angles 90.00, 90.00, 90.00 degrees
Space group F-43m (No. 216)
Unique sites:
Ta1 0.0000 0.0000 0.0000
Cu1 0.0000 0.0000 0.5000
Os1 0.2500 0.2500 0.7500
Pt1 0.2500 0.2500 0.2500

Most intense lines, 2θ = 5–70°, low angle first:
2θ 24.73, I 74
2θ 28.64, I 55
2θ 40.94, I 1000
2θ 48.42, I 39
2θ 50.73, I 16
2θ 59.29, I 169
2θ 65.23, I 17
2θ 67.15, I 22

# MnCoPt14
Theoretical X-ray powder pattern, Cu Ka. Input: a DFT-relaxed cell (PBE, Alexandria).
No peak broadening, texture or thermal motion is included.

Structure:
Cell lengths 9.2066, 5.5594, 9.6174 Å; angles 90.00, 90.00, 90.00 degrees
Space group Amm2 (No. 38)
Unique sites:
Mn1 0.0000 0.0000 0.0000
Co1 0.0000 0.0000 0.4986
Pt1 0.0000 0.2498 0.2523
Pt2 0.2391 0.2489 0.5820
Pt3 0.2442 0.0000 0.3353
Pt4 0.2456 0.0000 0.8348
Pt5 0.5000 0.0000 0.1656
Pt6 0.5000 0.0000 0.6652
Pt7 0.5000 0.2499 0.4158

Most intense lines, 2θ = 5–70°, low angle first:
2θ 9.61, I 39
2θ 20.84, I 27
2θ 37.38, I 129
2θ 38.68, I 342
2θ 39.14, I 338
2θ 42.39, I 1000
2θ 48.05, I 180
2θ 55.23, I 80
2θ 63.64, I 96
2θ 67.42, I 213

# FeNi8H5
Theoretical X-ray powder pattern, Cu Ka. Input: a DFT-relaxed cell (PBE, Alexandria).
No peak broadening, texture or thermal motion is included.

Structure:
Cell lengths 13.3929, 2.5685, 6.5124 Å; angles 90.00, 103.33, 90.00 degrees
Space group C2/m (No. 12)
Unique sites:
Fe1 0.0000 0.0000 0.0000
Ni1 0.0720 0.0000 0.6716
Ni2 0.0908 0.5000 0.3226
Ni3 0.1625 0.5000 0.9995
Ni4 0.2411 0.5000 0.6701
H1 0.0000 0.5000 0.5000
H2 0.1668 0.0000 0.4832
H3 0.2025 0.0000 0.8386

Most intense lines, 2θ = 5–70°, low angle first:
2θ 40.69, I 132
2θ 40.81, I 299
2θ 41.63, I 213
2θ 42.81, I 671
2θ 44.82, I 460
2θ 44.98, I 882
2θ 47.28, I 1000
2θ 53.23, I 60
2θ 56.62, I 159
2θ 56.63, I 71

# TeP2Os
Theoretical X-ray powder pattern, Cu Ka. Input: a DFT-relaxed cell (PBE, Alexandria).
No peak broadening, texture or thermal motion is included.

Structure:
Cell lengths 7.1135, 3.0046, 8.0360 Å; angles 90.00, 106.45, 90.00 degrees
Space group C2/m (No. 12)
Unique sites:
Te1 0.0000 0.0000 0.0000
P1 0.1563 0.0000 0.3479
Os1 0.0000 0.5000 0.5000

Most intense lines, 2θ = 5–70°, low angle first:
2θ 11.48, I 552
2θ 23.08, I 956
2θ 26.12, I 691
2θ 29.66, I 426
2θ 33.32, I 1000
2θ 35.91, I 460
2θ 39.95, I 378
2θ 45.48, I 482
2θ 47.16, I 346
2θ 48.94, I 384

# RbZnP2O9
Theoretical X-ray powder pattern, Cu Ka. Input: a DFT-relaxed cell (PBE, Alexandria).
No peak broadening, texture or thermal motion is included.

Structure:
Cell lengths 7.0716, 7.8444, 7.9160 Å; angles 86.70, 78.43, 64.78 degrees
Space group P-1 (No. 2)
Unique sites:
Rb1 0.1847 0.2999 0.1825
Zn1 0.2534 0.9491 0.7372
P1 0.1875 0.7889 0.1010
P2 0.4381 0.2560 0.6145
O1 0.0563 0.9632 0.2238
O2 0.0629 0.6862 0.0634
O3 0.1540 0.6573 0.4794
O4 0.2162 0.3758 0.5744
O5 0.3416 0.8243 0.9536
O6 0.3519 0.6144 0.2173
O7 0.3740 0.7670 0.5345
O8 0.4431 0.3898 0.7680
O9 0.4535 0.0684 0.6916

Most intense lines, 2θ = 5–70°, low angle first:
2θ 22.97, I 644
2θ 23.84, I 523
2θ 24.53, I 422
2θ 24.82, I 472
2θ 25.08, I 292
2θ 26.60, I 1000
2θ 26.76, I 381
2θ 28.50, I 594
2θ 29.34, I 665
2θ 38.91, I 266